The following is a simulated X-ray diffraction stick pattern of GaFeO3. It was derived from a PBE+U-relaxed structure, using Cu Kα (λ = 1.5418 Å).
Peak positions follow from Bragg's law for the DFT cell and can differ from measured ones.

```
data_GaFeO3
_chemical_formula_sum 'Ga8 Fe8 O24'
_space_group_name_H-M_alt 'P 1'
_space_group_IT_number 1
_cell_length_a 5.137
_cell_length_b 8.808
_cell_length_c 9.411
_cell_angle_alpha 90.47
_cell_angle_beta 90.69
_cell_angle_gamma 90.67
loop_
_space_group_symop_operation_xyz
'x,y,z'
loop_
_atom_site_label
_atom_site_type_symbol
_atom_site_fract_x
_atom_site_fract_y
_atom_site_fract_z
_atom_site_occupancy
Ga1 Ga 0.000 0.000 0.000 1
Ga2 Ga 0.001 0.696 0.208 1
Ga3 Ga 0.343 0.315 0.500 1
Ga4 Ga 0.352 0.998 0.693 1
Ga5 Ga 0.497 0.803 0.000 1
Ga6 Ga 0.843 0.508 0.499 1
Ga7 Ga 0.857 0.816 0.691 1
Ga8 Ga 0.995 0.313 0.191 1
Fe1 Fe 0.001 0.000 0.422 1
Fe2 Fe 0.352 0.629 0.695 1
Fe3 Fe 0.359 0.310 0.913 1
Fe4 Fe 0.490 0.500 0.191 1
Fe5 Fe 0.492 0.824 0.420 1
Fe6 Fe 0.512 0.127 0.201 1
Fe7 Fe 0.840 0.178 0.689 1
Fe8 Fe 0.866 0.497 0.911 1
O1 O 0.014 0.320 0.820 1
O2 O 0.020 0.652 0.786 1
O3 O 0.022 0.987 0.800 1
O4 O 0.151 0.150 0.565 1
O5 O 0.157 0.820 0.057 1
O6 O 0.160 0.473 0.068 1
O7 O 0.184 0.849 0.560 1
O8 O 0.186 0.495 0.558 1
O9 O 0.194 0.164 0.065 1
O10 O 0.331 0.988 0.326 1
O11 O 0.332 0.319 0.302 1
O12 O 0.336 0.668 0.296 1
O13 O 0.511 0.811 0.797 1
O14 O 0.518 0.486 0.828 1
O15 O 0.527 0.155 0.795 1
O16 O 0.647 0.674 0.561 1
O17 O 0.659 0.984 0.056 1
O18 O 0.660 0.327 0.077 1
O19 O 0.682 0.331 0.556 1
O20 O 0.689 0.981 0.571 1
O21 O 0.705 0.646 0.066 1
O22 O 0.826 0.836 0.327 1
O23 O 0.843 0.153 0.301 1
O24 O 0.843 0.503 0.300 1
```

Most intense lines, 2θ from 10° to 90°, sorted by position:
hkl 0 2 -2, 27.6°, I = 16
hkl 0 2 2, 27.9°, I = 16
hkl 0 1 -3, 30.2°, I = 26
hkl 0 1 3, 30.3°, I = 25
hkl -1 2 2, 32.7°, I = 100
hkl 1 2 2, 33.2°, I = 31
hkl 2 0 0, 34.9°, I = 25
hkl -1 3 1, 36.4°, I = 38
hkl -1 3 5, 61.1°, I = 21
hkl 3 -3 0, 62.5°, I = 17
hkl 3 3 0, 63.2°, I = 18
hkl 0 6 0, 63.4°, I = 13